Record 1
Theoretical powder diffraction line list of Cs2NaPb2Cl7 for a wavelength of 1.5418 Å, from DFT lattice parameters and positions (GGA-PBE).
Neutral-atom scattering factors, no anomalous dispersion.

Largest 10 diffraction maxima, sorted by position, 10° ≤ 2θ ≤ 80°:
Position (°2θ)	d/Å	I (rel.)
12.37	7.153	645
16.39	5.408	516
20.67	4.297	871
21.57	4.121	1000
22.95	3.875	534
24.32	3.660	583
31.53	2.837	383
32.13	2.786	668
37.76	2.382	364
43.95	2.060	371

Structural model:
```
Cs2NaPb2Cl7
1.0
3.6719 -4.2967 0.0000
3.6719 4.2967 0.0000
-2.5147 0.0000 14.3060
Cs Na Pb Cl
2 1 2 7
Direct
0.2065 0.2065 0.3647 Cs
0.7935 0.7935 0.6353 Cs
0.0000 0.0000 0.0000 Na
0.3533 0.3533 0.8093 Pb
0.6467 0.6467 0.1907 Pb
0.1424 0.7439 0.1706 Cl
0.2561 0.8576 0.8294 Cl
0.2851 0.2851 0.6054 Cl
0.5000 0.5000 0.0000 Cl
0.7149 0.7149 0.3946 Cl
0.7439 0.1424 0.1706 Cl
0.8576 0.2561 0.8294 Cl
```

***

Record 2
Theoretical powder diffraction line list of Cs2NaPtCl6 for a wavelength of 1.5418 Å, from DFT lattice parameters and positions (GGA-PBE).
Neutral-atom scattering factors, no anomalous dispersion.

Largest 10 diffraction maxima, sorted by position, 10° ≤ 2θ ≤ 80°:
Position (°2θ)	d/Å	I (rel.)
13.18	6.716	610
13.81	6.411	404
19.14	4.637	904
24.04	3.702	902
27.51	3.242	371
30.04	2.975	546
30.91	2.893	1000
38.84	2.319	675
46.20	1.965	434
49.23	1.851	351

Structural model:
```
Cs2NaPtCl6
1.0
7.4031 0.0000 0.0000
-3.7015 6.4113 0.0000
0.0000 0.0000 6.7157
Cs Na Pt Cl
2 1 1 6
Direct
0.3333 0.6667 0.2083 Cs
0.6667 0.3333 0.7917 Cs
0.0000 0.0000 0.5000 Na
0.0000 0.0000 0.0000 Pt
0.1560 0.3120 0.7878 Cl
0.1560 0.8440 0.7878 Cl
0.3120 0.1560 0.2122 Cl
0.6880 0.8440 0.7878 Cl
0.8440 0.1560 0.2122 Cl
0.8440 0.6880 0.2122 Cl
```

***

Record 3
Theoretical powder diffraction line list of CsNaPtCl6 for a wavelength of 1.5418 Å, from DFT lattice parameters and positions (GGA-PBE).
Neutral-atom scattering factors, no anomalous dispersion.

Largest 10 diffraction maxima, sorted by position, 10° ≤ 2θ ≤ 80°:
Position (°2θ)	d/Å	I (rel.)
11.80	7.497	182
14.78	5.994	340
18.96	4.682	1000
25.74	3.461	168
32.16	2.783	193
35.30	2.543	427
41.64	2.169	237
45.39	1.998	134
47.36	1.919	117
54.68	1.679	133

Structural model:
```
CsNaPtCl6
1.0
3.4582 -5.9985 0.0000
3.4582 5.9985 0.0000
-0.0081 0.0000 7.4974
Cs Na Pt Cl
1 1 1 6
Direct
0.0000 0.0000 0.0000 Cs
0.6665 0.3335 0.5000 Na
0.3333 0.6667 0.5000 Pt
0.0514 0.3936 0.3183 Cl
0.0524 0.6580 0.6821 Cl
0.3420 0.9476 0.3179 Cl
0.3426 0.3947 0.6821 Cl
0.6053 0.6574 0.3179 Cl
0.6064 0.9486 0.6817 Cl
```

***

Record 4
Theoretical powder diffraction line list of Cs3NaPu2Cl9 for a wavelength of 1.5418 Å, from DFT lattice parameters and positions (GGA-PBE).
Neutral-atom scattering factors, no anomalous dispersion.

Largest 10 diffraction maxima, sorted by position, 10° ≤ 2θ ≤ 80°:
Position (°2θ)	d/Å	I (rel.)
13.02	6.798	121
15.94	5.559	198
22.62	3.931	1000
32.21	2.779	504
39.62	2.275	112
39.75	2.267	363
46.12	1.968	170
46.27	1.962	174
52.08	1.756	116
62.55	1.485	129

Structural model:
```
Cs3NaPu2Cl9
1.0
7.8492 0.0000 0.0000
-3.9246 6.7976 0.0000
0.0000 0.0000 9.6567
Cs Na Pu Cl
3 1 2 9
Direct
0.0000 0.0000 0.0000 Cs
0.3333 0.6667 0.6481 Cs
0.6667 0.3333 0.3519 Cs
0.0000 0.0000 0.5000 Na
0.3333 0.6667 0.1723 Pu
0.6667 0.3333 0.8277 Pu
0.0000 0.5000 0.0000 Cl
0.1669 0.3339 0.3301 Cl
0.1669 0.8331 0.3301 Cl
0.3339 0.1669 0.6699 Cl
0.5000 0.0000 0.0000 Cl
0.5000 0.5000 0.0000 Cl
0.6661 0.8331 0.3301 Cl
0.8331 0.1669 0.6699 Cl
0.8331 0.6661 0.6699 Cl
```